# 1
Calculated PXRD pattern of NdEr4Mg2 for Cu Kα, from a DFT-relaxed cell (GGA-PBE, Alexandria).

Structure:
a = 3.5074 Å, b = 34.6171 Å, c = 3.4659 Å
α = 90.00°, β = 90.00°, γ = 90.00°
Space group Cmmm (No. 65)
Asymmetric unit:
Nd 0.0000 0.0000 0.0000 [2 per cell]
Er 0.0000 0.1470 0.0000 [4 per cell]
Er 0.0000 0.4242 0.5000 [4 per cell]
Mg 0.0000 0.2870 0.5000 [4 per cell]

Top 12 peaks for 2θ from 10° to 90°, low angle first:
hkl 0 4 0, 2θ 10.22, rel. 409; hkl 1 5 0, 2θ 28.53, rel. 164; hkl 0 6 1, 2θ 30.08, rel. 788; hkl 1 7 0, 2θ 31.27, rel. 1000; hkl 0 8 1, 2θ 33.12, rel. 387; hkl 0 14 0, 2θ 36.33, rel. 308; hkl 1 1 1, 2θ 36.54, rel. 778; hkl 1 13 1, 2θ 50.45, rel. 426; hkl 0 20 1, 2θ 59.71, rel. 141; hkl 2 6 1, 2θ 61.39, rel. 209; hkl 1 7 2, 2θ 62.68, rel. 274; hkl 3 7 0, 2θ 85.33, rel. 162

# 2
Calculated PXRD pattern of NdHPd for Cu Kα, from a DFT-relaxed cell (GGA-PBE, Alexandria).

Structure:
a = 7.4617 Å, b = 4.4351 Å, c = 6.1003 Å
α = 90.00°, β = 90.00°, γ = 90.00°
Space group Pnma (No. 62)
Asymmetric unit:
Nd 0.1717 0.2500 0.1401 [4 per cell]
H 0.1390 0.7500 0.9681 [4 per cell]
Pd 0.0407 0.2500 0.6254 [4 per cell]

Top 12 peaks for 2θ from 10° to 90°, low angle first:
hkl 1 1 1, 2θ 27.59, rel. 283; hkl 2 1 0, 2θ 31.33, rel. 827; hkl 1 0 2, 2θ 31.69, rel. 627; hkl 2 1 1, 2θ 34.69, rel. 707; hkl 1 1 2, 2θ 37.77, rel. 1000; hkl 3 0 1, 2θ 39.11, rel. 334; hkl 0 2 0, 2θ 40.69, rel. 442; hkl 4 0 1, 2θ 51.21, rel. 201; hkl 1 2 2, 2θ 52.47, rel. 303; hkl 2 1 3, 2θ 55.50, rel. 196; hkl 3 2 1, 2θ 57.71, rel. 211; hkl 3 2 3, 2θ 73.83, rel. 221

# 3
Calculated PXRD pattern of NdTmS3 for Cu Kα, from a DFT-relaxed cell (GGA-PBE, Alexandria).

Structure:
a = 11.0038 Å, b = 3.9461 Å, c = 21.4799 Å
α = 90.00°, β = 101.47°, γ = 90.00°
Space group P2_1/m (No. 11)
Asymmetric unit:
Nd 0.0890 0.2500 0.3629 [2 per cell]
Nd 0.2018 0.2500 0.0374 [2 per cell]
Nd 0.3051 0.7500 0.7334 [2 per cell]
Nd 0.3068 0.2500 0.2331 [2 per cell]
Tm 0.0311 0.2500 0.8516 [2 per cell]
Tm 0.1800 0.2500 0.5457 [2 per cell]
Tm 0.4466 0.2500 0.9164 [2 per cell]
Tm 0.4771 0.7500 0.4124 [2 per cell]
S 0.0373 0.2500 0.2288 [2 per cell]
S 0.0584 0.7500 0.9451 [2 per cell]
S 0.0842 0.7500 0.4625 [2 per cell]
S 0.1267 0.2500 0.6632 [2 per cell]
S 0.2041 0.7500 0.1349 [2 per cell]
S 0.2510 0.7500 0.3264 [2 per cell]
S 0.2550 0.2500 0.8226 [2 per cell]
S 0.3424 0.7500 0.5990 [2 per cell]
S 0.3557 0.7500 0.9859 [2 per cell]
S 0.3633 0.2500 0.4643 [2 per cell]
S 0.4524 0.2500 0.1344 [2 per cell]
S 0.4961 0.2500 0.7196 [2 per cell]

Top 12 peaks for 2θ from 10° to 90°, low angle first:
hkl 1 1 0, 2θ 24.02, rel. 237; hkl 3 0 -2, 2θ 24.53, rel. 717; hkl 1 1 -2, 2θ 24.92, rel. 209; hkl 1 0 -6, 2θ 25.08, rel. 637; hkl 2 0 4, 2θ 25.90, rel. 1000; hkl 2 1 1, 2θ 28.84, rel. 328; hkl 2 1 -5, 2θ 33.24, rel. 259; hkl 0 1 6, 2θ 34.20, rel. 258; hkl 3 1 -5, 2θ 37.26, rel. 406; hkl 4 0 -8, 2θ 42.99, rel. 257; hkl 0 2 0, 2θ 46.00, rel. 371; hkl 3 2 -2, 2θ 52.82, rel. 202

# 4
Calculated PXRD pattern of CsNaAgBr4 for Cu Kα, from a DFT-relaxed cell (GGA-PBE, Alexandria).

Structure:
a = 7.8750 Å, b = 6.4988 Å, c = 10.0482 Å
α = 90.00°, β = 103.23°, γ = 90.00°
Space group P2_1/m (No. 11)
Asymmetric unit:
Cs 0.2394 0.2500 0.4407 [2 per cell]
Na 0.1835 0.2500 0.9054 [2 per cell]
Ag 0.2752 0.7500 0.1515 [2 per cell]
Br 0.0580 0.7500 0.9104 [2 per cell]
Br 0.0816 0.7500 0.3485 [2 per cell]
Br 0.4700 0.5166 0.7825 [4 per cell]

Top 12 peaks for 2θ from 10° to 90°, low angle first:
hkl 1 1 -1, 2θ 18.83, rel. 404; hkl 1 1 1, 2θ 21.26, rel. 517; hkl 1 0 2, 2θ 23.71, rel. 357; hkl 2 0 -2, 2θ 26.05, rel. 524; hkl 1 0 -3, 2θ 27.16, rel. 344; hkl 1 1 2, 2θ 27.43, rel. 1000; hkl 2 1 -2, 2θ 29.51, rel. 581; hkl 1 2 0, 2θ 29.87, rel. 575; hkl 1 2 -1, 2θ 30.46, rel. 294; hkl 2 1 2, 2θ 35.69, rel. 367; hkl 2 2 0, 2θ 36.24, rel. 318; hkl 0 1 5, 2θ 48.57, rel. 337